1.
Starting from a PBE-relaxed structure, the XRD peak list of KZn2Ag2Cl7 was calculated for copper Kα.

Structural model:
a b c (Å): 7.0205 7.0205 30.9861
angles (deg): 90.00 90.00 120.00
Space group R32 (No. 155, hexagonal axes)
Symmetry-distinct sites (fractional):
K 0.0000 0.0000 0.0000 x3
Zn 0.0000 0.0000 0.4254 x6
Ag 0.0000 0.0000 0.2580 x6
Cl 0.0000 0.0000 0.5000 x3
Cl 0.0164 0.3172 0.5975 x18

Top 10 peaks for 10° ≤ 2θ ≤ 90°, sorted by position:
- 14.85°, intensity 40.3
- 17.17°, intensity 100.0
- 18.55°, intensity 63.4
- 24.88°, intensity 27.9
- 25.37°, intensity 80.6
- 30.80°, intensity 37.7
- 31.62°, intensity 27.1
- 43.51°, intensity 27.7
- 44.72°, intensity 44.6
- 48.24°, intensity 34.1

=====

2.
Starting from a PBE-relaxed structure, the XRD peak list of AlPt2O6 was calculated for copper Kα.

Structural model:
a b c (Å): 4.389 5.087 8.739
angles (deg): 90.00 90.00 90.00
Space group Pnnm (No. 58)
Symmetry-distinct sites (fractional):
Al 0.000 0.000 0.000 x2
Pt 0.000 0.500 0.179 x4
O 0.216 0.323 0.000 x4
O 0.240 0.837 0.156 x8

Top 10 peaks for 10° ≤ 2θ ≤ 90°, sorted by position:
- 20.20°, intensity 27.2
- 20.32°, intensity 31.1
- 22.67°, intensity 49.9
- 26.83°, intensity 100.0
- 33.89°, intensity 59.5
- 35.29°, intensity 25.1
- 35.51°, intensity 47.2
- 37.04°, intensity 40.2
- 52.09°, intensity 31.8
- 55.45°, intensity 42.0

=====

3.
Starting from a PBE-relaxed structure, the XRD peak list of Er5Bi5Ir was calculated for copper Kα.

Structural model:
a b c (Å): 13.140 6.136 9.541
angles (deg): 90.00 117.39 90.00
Space group C2/m (No. 12)
Symmetry-distinct sites (fractional):
Er 0.000 0.000 0.000 x2
Er 0.152 0.500 0.880 x4
Er 0.175 0.500 0.294 x4
Bi 0.000 0.500 0.500 x2
Bi 0.115 0.000 0.777 x4
Bi 0.214 0.000 0.336 x4
Ir 0.000 0.500 0.000 x2

Top 10 peaks for 10° ≤ 2θ ≤ 90°, sorted by position:
- 28.05°, intensity 64.0
- 29.11°, intensity 100.0
- 31.29°, intensity 50.2
- 32.44°, intensity 46.5
- 32.85°, intensity 35.2
- 37.94°, intensity 27.2
- 40.87°, intensity 47.5
- 43.26°, intensity 41.9
- 44.13°, intensity 19.7
- 48.52°, intensity 28.6